Diffraction record for Li3Fe2O3F3. The powder XRD pattern is simulated, not measured: it uses a structure optimized by DFT (PBE+U) and Cu Ka.
Kinematic intensities with the Lorentz-polarization factor, no thermal factor.

Structural model:
```
data_Li3Fe2O3F3
_cell_length_a 3.2214
_cell_length_b 3.2214
_cell_length_c 40.5132
_cell_angle_alpha 90.00
_cell_angle_beta 90.00
_cell_angle_gamma 120.00
_space_group_name_H-M_alt 'R 3 m'
_space_group_IT_number 160
_space_group_name_Hall 'R 3 -2"'
loop_
_atom_site_label
_atom_site_fract_x
_atom_site_fract_y
_atom_site_fract_z
Li1 0.0000 0.0000 0.0000
Li2 0.0000 0.0000 0.1201
Li3 0.0000 0.0000 0.7266
Fe1 0.0000 0.0000 0.5991
Fe2 0.0000 0.0000 0.8570
O1 0.0000 0.0000 0.1694
O2 0.0000 0.0000 0.5517
O3 0.0000 0.0000 0.9407
F1 0.0000 0.0000 0.0470
F2 0.0000 0.0000 0.6552
F3 0.0000 0.0000 0.7735
```

Main lines, in order of rising 2θ (2θ from 15° to 90°):
- 2θ = 26.40°, rel. 60, hkl 0 0 12
- 2θ = 32.16°, rel. 100, hkl 1 0 1
- 2θ = 33.31°, rel. 83, hkl 1 0 4
- 2θ = 40.57°, rel. 55, hkl 0 1 11
- 2θ = 48.56°, rel. 47, hkl 1 0 16
- 2θ = 57.19°, rel. 74, hkl 1 1 0